(1)
Structure and calculated powder XRD pattern of Na3Li5Mn5O9 (a crystal structure in Alexandria, relaxed with GGA+U; Cu Kα).

Peak list (10 most intense, 10° ≤ 2θ ≤ 90°, sorted by position)
d = 4.436 Å, 2θ 20.0, intensity 39; d = 2.956 Å, 2θ 30.2, intensity 46; d = 2.938 Å, 2θ 30.4, intensity 32; d = 2.922 Å, 2θ 30.6, intensity 48; d = 2.716 Å, 2θ 33.0, intensity 41; d = 2.682 Å, 2θ 33.4, intensity 100; d = 2.586 Å, 2θ 34.7, intensity 55; d = 1.995 Å, 2θ 45.5, intensity 27; d = 1.964 Å, 2θ 46.2, intensity 39; d = 1.699 Å, 2θ 54.0, intensity 54

Atomic structure:
```
Na3Li5Mn5O9
1.0
5.8803 0.0000 0.0000
2.9319 5.1119 0.0000
1.0562 1.5530 8.8667
Na Li Mn O
3 5 5 9
direct
0.0000 0.0000 0.0000
0.3126 0.3143 0.9918
0.6606 0.6519 0.0023
0.3001 0.1500 0.5937
0.3234 0.9341 0.2084
0.6422 0.2626 0.1956
0.9587 0.4379 0.7484
0.9960 0.5931 0.1936
0.3104 0.5509 0.4166
0.3329 0.7135 0.7470
0.6780 0.8337 0.4193
0.6883 0.0644 0.7479
0.9551 0.2036 0.4142
0.0014 0.4775 0.5078
0.3109 0.8596 0.5019
0.3218 0.6075 0.1873
0.3328 0.0463 0.8065
0.6234 0.1689 0.5049
0.6592 0.9263 0.1890
0.6609 0.3739 0.8366
0.9851 0.2658 0.1849
0.9960 0.7054 0.8365
```

(2)
Structure and calculated powder XRD pattern of Na3Li4Mn5O9 (a crystal structure in Alexandria, relaxed with GGA+U; Cu Kα).

Peak list (10 most intense, 10° ≤ 2θ ≤ 90°, sorted by position)
d = 4.377 Å, 2θ 20.3, intensity 100; d = 2.968 Å, 2θ 30.1, intensity 43; d = 2.956 Å, 2θ 30.2, intensity 42; d = 2.923 Å, 2θ 30.6, intensity 55; d = 2.607 Å, 2θ 34.4, intensity 48; d = 2.336 Å, 2θ 38.5, intensity 47; d = 2.330 Å, 2θ 38.6, intensity 49; d = 2.318 Å, 2θ 38.9, intensity 49; d = 2.189 Å, 2θ 41.2, intensity 45; d = 1.733 Å, 2θ 52.8, intensity 33

Atomic structure:
```
Na3Li4Mn5O9
1.0
5.8728 0.0000 0.0000
-2.9158 5.1982 0.0000
-0.8051 -1.7656 8.7555
Na Li Mn O
3 4 5 9
direct
0.0000 0.0000 0.0000
0.2960 0.6055 0.9975
0.6893 0.3162 0.0033
0.1174 0.1701 0.5845
0.4705 0.1301 0.4672
0.5532 0.8215 0.5548
0.8940 0.4960 0.5646
0.0600 0.7206 0.2865
0.2717 0.9036 0.7567
0.4087 0.4143 0.2856
0.5930 0.5576 0.7580
0.7507 0.0583 0.2715
0.0468 0.3701 0.1822
0.1881 0.8295 0.5230
0.3128 0.2511 0.8254
0.3780 0.0438 0.2199
0.4997 0.4644 0.5235
0.5754 0.8736 0.8356
0.7077 0.6896 0.1846
0.7980 0.1394 0.5003
0.9555 0.6318 0.8222
```

(3)
Structure and calculated powder XRD pattern of Li4Mn3NbO8 (a crystal structure in Alexandria, relaxed with GGA+U; Cu Kα).

Peak list (10 most intense, 10° ≤ 2θ ≤ 90°, sorted by position)
d = 5.057 Å, 2θ 17.5, intensity 11; d = 4.922 Å, 2θ 18.0, intensity 100; d = 2.665 Å, 2θ 33.6, intensity 34; d = 2.615 Å, 2θ 34.3, intensity 16; d = 2.529 Å, 2θ 35.5, intensity 19; d = 2.194 Å, 2θ 41.1, intensity 56; d = 2.138 Å, 2θ 42.3, intensity 26; d = 1.982 Å, 2θ 45.8, intensity 12; d = 1.547 Å, 2θ 59.8, intensity 16; d = 1.516 Å, 2θ 61.1, intensity 14

Atomic structure:
```
Li4Mn3NbO8
1.0
6.1446 0.0000 0.0000
0.0000 6.2703 0.0000
-5.8990 0.0000 8.5528
Li Mn Nb O
8 6 2 16
direct
0.0000 0.0000 0.0000
0.0000 0.0000 0.5000
0.0000 0.5000 0.0000
0.0000 0.5000 0.5000
0.5000 0.2405 0.2500
0.5000 0.2437 0.7500
0.5000 0.7563 0.2500
0.5000 0.7595 0.7500
0.0000 0.2438 0.7500
0.0000 0.7562 0.2500
0.5000 0.0000 0.0000
0.5000 0.0000 0.5000
0.5000 0.5000 0.0000
0.5000 0.5000 0.5000
0.0000 0.2615 0.2500
0.0000 0.7385 0.7500
0.2221 0.2517 0.4867
0.2221 0.7483 0.9867
0.2276 0.4829 0.2432
0.2276 0.5171 0.7432
0.2513 0.0206 0.2636
0.2513 0.9794 0.7636
0.2799 0.2286 0.9971
0.2799 0.7714 0.4971
0.7201 0.2286 0.5029
0.7201 0.7714 0.0029
0.7487 0.0206 0.2364
0.7487 0.9794 0.7364
0.7724 0.4829 0.2568
0.7724 0.5171 0.7568
0.7779 0.2517 0.0133
0.7779 0.7483 0.5133
```

(4)
Structure and calculated powder XRD pattern of Li4Mn3NbO8 (a crystal structure in Alexandria, relaxed with GGA+U; Cu Kα).

Peak list (10 most intense, 10° ≤ 2θ ≤ 90°, sorted by position)
d = 5.064 Å, 2θ 17.5, intensity 11; d = 4.932 Å, 2θ 18.0, intensity 100; d = 2.681 Å, 2θ 33.4, intensity 35; d = 2.596 Å, 2θ 34.6, intensity 17; d = 2.531 Å, 2θ 35.5, intensity 13; d = 2.212 Å, 2θ 40.8, intensity 56; d = 2.116 Å, 2θ 42.7, intensity 25; d = 1.979 Å, 2θ 45.8, intensity 13; d = 1.545 Å, 2θ 59.9, intensity 15; d = 1.514 Å, 2θ 61.2, intensity 14

Atomic structure:
```
Li4Mn3NbO8
1.0
5.3181 -3.1582 0.0000
5.3181 3.1582 0.0000
-3.1299 0.0000 9.8649
Li Mn Nb O
8 6 2 16
direct
0.0000 0.0000 0.0000
0.0188 0.5074 0.5107
0.4625 0.0122 0.9897
0.4810 0.5190 0.5000
0.4926 0.9812 0.4893
0.5312 0.4688 0.0000
0.9508 0.0492 0.5000
0.9878 0.5375 0.0103
0.2401 0.2596 0.7497
0.2403 0.7599 0.2502
0.2401 0.7597 0.7498
0.7404 0.2598 0.2503
0.7402 0.2596 0.7497
0.7404 0.7599 0.2503
0.2403 0.2598 0.2500
0.7402 0.7597 0.7500
0.0945 0.6523 0.8618
0.1177 0.1589 0.3768
0.1248 0.0916 0.8567
0.1328 0.6141 0.3619
0.3477 0.9055 0.1382
0.3558 0.4277 0.6433
0.3630 0.3604 0.1233
0.3859 0.8672 0.6381
0.5723 0.6442 0.3567
0.5820 0.1445 0.3695
0.6251 0.1015 0.8695
0.6396 0.6370 0.8767
0.8411 0.8823 0.6232
0.8555 0.4180 0.6305
0.8985 0.3749 0.1305
0.9084 0.8752 0.1433
```

(5)
Structure and calculated powder XRD pattern of Li4Mn3NbO8 (a crystal structure in Alexandria, relaxed with GGA+U; Cu Kα).

Peak list (10 most intense, 10° ≤ 2θ ≤ 90°, sorted by position)
d = 5.064 Å, 2θ 17.5, intensity 10; d = 4.932 Å, 2θ 18.0, intensity 100; d = 2.673 Å, 2θ 33.5, intensity 34; d = 2.610 Å, 2θ 34.4, intensity 16; d = 2.532 Å, 2θ 35.5, intensity 19; d = 2.203 Å, 2θ 41.0, intensity 55; d = 2.131 Å, 2θ 42.4, intensity 25; d = 1.982 Å, 2θ 45.8, intensity 12; d = 1.548 Å, 2θ 59.8, intensity 15; d = 1.516 Å, 2θ 61.1, intensity 14

Atomic structure:
```
Li4Mn3NbO8
1.0
5.1915 -3.1455 0.0000
5.1915 3.1455 0.0000
-3.3327 0.0000 10.1367
Li Mn Nb O
8 6 2 16
direct
0.0221 0.9779 0.5000
0.2520 0.7652 0.7622
0.2600 0.7578 0.2623
0.4957 0.5391 0.0245
0.5391 0.4957 0.5245
0.7578 0.2600 0.7623
0.7652 0.2520 0.2622
0.9779 0.0221 0.0000
0.0054 0.5121 0.5124
0.2588 0.2603 0.7626
0.2603 0.2588 0.2626
0.5121 0.0054 0.0124
0.7578 0.7592 0.7624
0.7592 0.7578 0.2624
0.0183 0.4992 0.0124
0.4992 0.0183 0.5124
0.0927 0.6357 0.3710
0.1219 0.1572 0.8984
0.1358 0.6344 0.9013
0.1572 0.1219 0.3984
0.3601 0.3954 0.1257
0.3806 0.8845 0.6236
0.3954 0.3601 0.6257
0.4257 0.8809 0.1540
0.6254 0.6676 0.3881
0.6344 0.1358 0.4013
0.6357 0.0927 0.8710
0.6676 0.6254 0.8881
0.8502 0.8925 0.6373
0.8809 0.4257 0.6540
0.8845 0.3806 0.1236
0.8925 0.8502 0.1373
```

(6)
Structure and calculated powder XRD pattern of Li4Mn3NbV2P6O24 (a crystal structure in Alexandria, relaxed with GGA+U; Cu Kα).

Peak list (10 most intense, 10° ≤ 2θ ≤ 90°, sorted by position)
d = 4.381 Å, 2θ 20.3, intensity 100; d = 4.356 Å, 2θ 20.4, intensity 30; d = 3.754 Å, 2θ 23.7, intensity 50; d = 3.736 Å, 2θ 23.8, intensity 58; d = 2.785 Å, 2θ 32.1, intensity 54; d = 2.772 Å, 2θ 32.3, intensity 29; d = 2.764 Å, 2θ 32.4, intensity 27; d = 2.748 Å, 2θ 32.6, intensity 27; d = 2.532 Å, 2θ 35.4, intensity 33; d = 2.520 Å, 2θ 35.6, intensity 56

Atomic structure:
```
Li4Mn3NbV2P6O24
1.0
8.6677 0.0000 0.0000
4.2575 7.6033 0.0000
4.3060 2.5758 7.1749
Li Mn Nb V P O
4 3 1 2 6 24
direct
0.0000 0.0000 0.0000
0.0275 0.6671 0.6850
0.4541 0.4543 0.9190
0.9155 0.3584 0.3853
0.1683 0.9810 0.6012
0.2393 0.2620 0.9373
0.6371 0.4668 0.1347
0.7286 0.7942 0.4280
0.2017 0.5960 0.2938
0.6904 0.1005 0.7892
0.3883 0.1784 0.2472
0.4272 0.8714 0.8472
0.4447 0.5619 0.5330
0.9066 0.3732 0.7351
0.9345 0.0213 0.3425
0.9642 0.6487 0.0349
0.0624 0.3800 0.7680
0.0832 0.0780 0.1573
0.1687 0.5265 0.9700
0.1769 0.2065 0.3367
0.2424 0.9336 0.8178
0.2618 0.7154 0.5879
0.4139 0.3586 0.2135
0.4186 0.7127 0.0391
0.4340 0.5097 0.3949
0.4595 0.0359 0.8359
0.4676 0.9985 0.3963
0.4763 0.1556 0.0543
0.4840 0.3871 0.7051
0.5990 0.7965 0.6908
0.6148 0.6337 0.4426
0.7161 0.4332 0.8789
0.7644 0.0598 0.2920
0.8425 0.5189 0.1480
0.8719 0.1060 0.4896
0.8992 0.8118 0.8682
0.9208 0.5016 0.5246
0.9265 0.1757 0.7531
0.9533 0.7362 0.1649
0.9880 0.7999 0.4352
```

(7)
Structure and calculated powder XRD pattern of Li4Ti2Mn3Nb3O16 (a crystal structure in Alexandria, relaxed with GGA+U; Cu Kα).

Peak list (10 most intense, 10° ≤ 2θ ≤ 90°, sorted by position)
d = 4.951 Å, 2θ 17.9, intensity 100; d = 4.870 Å, 2θ 18.2, intensity 38; d = 4.704 Å, 2θ 18.9, intensity 54; d = 4.626 Å, 2θ 19.2, intensity 30; d = 2.774 Å, 2θ 32.3, intensity 29; d = 2.568 Å, 2θ 34.9, intensity 25; d = 2.542 Å, 2θ 35.3, intensity 33; d = 2.352 Å, 2θ 38.3, intensity 33; d = 2.085 Å, 2θ 43.4, intensity 31; d = 1.559 Å, 2θ 59.3, intensity 30

Atomic structure:
```
Li4Ti2Mn3Nb3O16
1.0
5.4655 -3.0222 0.0000
5.4655 3.0222 0.0000
-0.4192 0.0000 9.9018
Li Ti Mn Nb O
4 2 3 3 16
direct
0.0000 0.0000 0.0000
0.0117 0.0117 0.5135
0.3371 0.3371 0.4198
0.6734 0.6734 0.9181
0.3722 0.3722 0.9936
0.6798 0.6798 0.5209
0.1839 0.6747 0.7161
0.6747 0.1839 0.7161
0.8341 0.8341 0.2196
0.1889 0.1889 0.7462
0.3442 0.8411 0.2369
0.8411 0.3442 0.2369
0.0005 0.0005 0.3298
0.0227 0.0227 0.8154
0.0477 0.4829 0.8672
0.1578 0.1578 0.1175
0.1886 0.6684 0.1067
0.3237 0.3237 0.6185
0.3620 0.8501 0.6099
0.4829 0.0477 0.8672
0.4885 0.4885 0.8708
0.5052 0.9612 0.3591
0.5204 0.5204 0.3602
0.6603 0.6603 0.1158
0.6684 0.1886 0.1067
0.8367 0.8367 0.5937
0.8501 0.3620 0.6099
0.9612 0.5052 0.3591
```

(8)
Structure and calculated powder XRD pattern of Li4Ti3Mn3Nb2O16 (a crystal structure in Alexandria, relaxed with GGA+U; Cu Kα).

Peak list (10 most intense, 10° ≤ 2θ ≤ 90°, sorted by position)
d = 4.746 Å, 2θ 18.7, intensity 39; d = 4.668 Å, 2θ 19.0, intensity 100; d = 4.630 Å, 2θ 19.2, intensity 66; d = 3.629 Å, 2θ 24.5, intensity 36; d = 2.789 Å, 2θ 32.1, intensity 44; d = 2.631 Å, 2θ 34.1, intensity 41; d = 2.591 Å, 2θ 34.6, intensity 42; d = 2.582 Å, 2θ 34.7, intensity 32; d = 1.578 Å, 2θ 58.5, intensity 29; d = 1.535 Å, 2θ 60.3, intensity 35

Atomic structure:
```
Li4Ti3Mn3Nb2O16
1.0
5.3445 -3.0226 0.0000
5.3445 3.0226 0.0000
-0.2018 0.0000 9.9282
Li Ti Mn Nb O
4 3 3 2 16
direct
0.0000 0.0000 0.0000
0.0062 0.0062 0.5059
0.3478 0.3478 0.5840
0.6828 0.6828 0.0824
0.1639 0.6632 0.2726
0.6632 0.1639 0.2726
0.8319 0.8319 0.7537
0.1748 0.1748 0.2810
0.3474 0.8430 0.7882
0.8430 0.3474 0.7882
0.3450 0.3450 0.9953
0.6574 0.6574 0.5032
0.0469 0.5110 0.1541
0.1764 0.6634 0.9044
0.1780 0.1780 0.9228
0.3423 0.8330 0.4004
0.3581 0.3581 0.3828
0.4875 0.4875 0.1585
0.5110 0.0469 0.1541
0.5322 0.5322 0.6354
0.5451 0.9776 0.6388
0.6634 0.1764 0.9044
0.6997 0.6997 0.8820
0.8330 0.3423 0.4004
0.8457 0.8457 0.3862
0.9776 0.5451 0.6388
0.9977 0.9977 0.1873
0.9987 0.9987 0.6933
```